# PbS2
Theoretical X-ray powder pattern, Cu Kα, 1.54184 Å. Input: the GGA-PBE geometry in the Materials Project.
No peak broadening, texture or thermal motion is included.

Crystal structure
Lattice parameters (Å, degrees): 3.8752 3.8752 6.0997 90.00 90.00 120.00
Space group P-3m1 (No. 164)
Symmetry-distinct sites (fractional):
Pb 0.0000 0.0000 0.0000 (multiplicity 1)
S 0.3333 0.6667 0.2527 (multiplicity 2)

Peak list (12 most intense, 5 to 70 degrees two-theta, in order of rising 2θ)
2θ (°)  Rel. int.  hkl
14.52  84  0 0 1
26.56  44  1 0 0
29.28  7  0 0 2
30.40  100  0 1 1
39.94  60  1 0 2
46.89  24  1 1 0
49.35  24  1 1 1
52.63  22  1 0 3
56.25  8  1 1 2
56.91  17  2 0 1
63.25  16  0 2 2
66.68  11  1 1 3